This entry pairs a crystal structure of VZn2P4N3O16 with its calculated powder diffractogram. Radiation: copper Kα. Structure: a structure optimized by DFT (GGA+U).
Intensities are scaled so that the largest is 100.

Crystal structure
abc: 10.680 10.680 15.720
angles: 119.89 119.89 27.85
Atoms (fractional coordinates):
V  0.000  0.000  0.000
V  0.000  0.000  0.500
Zn  0.285  0.387  0.609
Zn  0.387  0.285  0.109
Zn  0.613  0.715  0.891
Zn  0.715  0.613  0.391
P  0.109  0.219  0.012
P  0.219  0.109  0.512
P  0.428  0.434  0.848
P  0.434  0.428  0.348
P  0.566  0.572  0.652
P  0.572  0.566  0.152
P  0.781  0.891  0.488
P  0.891  0.781  0.988
N  0.038  0.962  0.250
N  0.157  0.239  0.767
N  0.239  0.157  0.267
N  0.761  0.843  0.733
N  0.843  0.761  0.233
N  0.962  0.038  0.750
O  0.060  0.241  0.419
O  0.080  0.120  0.534
O  0.120  0.080  0.034
O  0.190  0.491  0.007
O  0.203  0.740  0.889
O  0.214  0.264  0.603
O  0.241  0.060  0.919
O  0.260  0.797  0.611
O  0.264  0.214  0.103
O  0.274  0.699  0.418
O  0.301  0.726  0.082
O  0.351  0.360  0.344
O  0.360  0.351  0.844
O  0.374  0.457  0.243
O  0.457  0.374  0.743
O  0.491  0.190  0.507
O  0.509  0.810  0.493
O  0.543  0.626  0.257
O  0.626  0.543  0.757
O  0.640  0.649  0.156
O  0.649  0.640  0.656
O  0.699  0.274  0.918
O  0.726  0.301  0.582
O  0.736  0.786  0.897
O  0.740  0.203  0.389
O  0.759  0.940  0.081
O  0.786  0.736  0.397
O  0.797  0.260  0.111
O  0.810  0.509  0.993
O  0.880  0.920  0.966
O  0.920  0.880  0.466
O  0.940  0.759  0.581

Principal peaks in the range 2θ = 5–70°, low angle first:
2θ 13.13, rel. 74; 2θ 17.36, rel. 60; 2θ 20.72, rel. 100; 2θ 22.89, rel. 18; 2θ 25.88, rel. 49; 2θ 27.64, rel. 23; 2θ 29.18, rel. 24; 2θ 29.87, rel. 86; 2θ 30.14, rel. 38; 2θ 34.90, rel. 41

This entry pairs a crystal structure of VS2NO9 with its calculated powder diffractogram. Radiation: copper Kα. Structure: a structure optimized by DFT (GGA+U).
Intensities are scaled so that the largest is 100.

Crystal structure
abc: 5.054 9.158 17.430
angles: 90.00 90.00 90.00
Atoms (fractional coordinates):
V  0.243  0.152  0.195
V  0.257  0.848  0.695
V  0.743  0.348  0.805
V  0.757  0.652  0.305
S  0.229  0.385  0.923
S  0.249  0.753  0.199
S  0.251  0.247  0.699
S  0.271  0.615  0.423
S  0.729  0.115  0.077
S  0.749  0.747  0.801
S  0.751  0.253  0.301
S  0.771  0.885  0.577
N  0.245  0.100  0.451
N  0.255  0.900  0.951
N  0.745  0.400  0.549
N  0.755  0.600  0.049
O  0.000  0.167  0.279
O  0.000  0.667  0.221
O  0.020  0.934  0.619
O  0.031  0.343  0.733
O  0.051  0.574  0.367
O  0.226  0.230  0.939
O  0.233  0.249  0.617
O  0.242  0.316  0.165
O  0.248  0.523  0.491
O  0.250  0.104  0.736
O  0.250  0.896  0.236
O  0.252  0.477  0.991
O  0.258  0.684  0.665
O  0.267  0.751  0.117
O  0.274  0.770  0.439
O  0.449  0.426  0.867
O  0.469  0.657  0.233
O  0.480  0.066  0.119
O  0.500  0.333  0.721
O  0.500  0.833  0.779
O  0.520  0.566  0.381
O  0.531  0.157  0.267
O  0.551  0.926  0.633
O  0.726  0.270  0.061
O  0.733  0.251  0.383
O  0.742  0.184  0.835
O  0.748  0.977  0.509
O  0.750  0.396  0.264
O  0.750  0.604  0.764
O  0.752  0.023  0.009
O  0.758  0.816  0.335
O  0.767  0.749  0.883
O  0.774  0.730  0.561
O  0.949  0.074  0.133
O  0.969  0.843  0.767
O  0.980  0.434  0.881

Principal peaks in the range 2θ = 5–70°, low angle first:
2θ 10.15, rel. 75; 2θ 10.91, rel. 38; 2θ 14.03, rel. 60; 2θ 19.39, rel. 16; 2θ 20.05, rel. 56; 2θ 21.93, rel. 27; 2θ 22.54, rel. 31; 2θ 27.02, rel. 100; 2θ 28.22, rel. 21; 2θ 35.53, rel. 19